For RbIn4Sn6, a crystal structure in Alexandria, relaxed with PBE gives the calculated PXRD pattern in this record (Cu Ka).

Structure:
a = 8.790 Å, b = 8.790 Å, c = 5.060 Å
α = 90.00°, β = 90.00°, γ = 120.00°
Atoms (fractional coordinates):
1 Rb 0.000 0.000 0.000
2 In 0.333 0.667 0.000
3 In 0.409 0.205 0.500
4 In 0.795 0.205 0.500
5 In 0.795 0.591 0.500
6 Sn 0.206 0.412 0.500
7 Sn 0.206 0.794 0.500
8 Sn 0.534 0.068 0.000
9 Sn 0.534 0.466 0.000
10 Sn 0.588 0.794 0.500
11 Sn 0.932 0.466 0.000

Peak list (10 most intense, 2θ from 15° to 90°, low angle first)
Position (°2θ)  intensity  index
26.87  19  1 1 1
29.36  100  2 0 1
31.08  40  2 1 0
35.48  41  0 0 2
35.90  88  2 1 1
39.74  22  3 0 1
41.07  24  2 2 0
47.87  26  2 1 2
55.37  22  2 2 2
63.84  25  5 0 1